For MnSn3P4O16, DFT lattice parameters and positions (PBE+U) gives the theoretical X-ray diffraction stick pattern in this record (Cu Ka).
Kinematic intensities with the Lorentz-polarization factor, no thermal factor.

Main lines, most intense first (10 to 90 degrees two-theta):
5.258 Å, 2θ 16.86, I 1000, (0 0 2); 3.720 Å, 2θ 23.92, I 839, (1 1 -1); 3.110 Å, 2θ 28.71, I 747, (0 2 0); 3.701 Å, 2θ 24.05, I 726, (1 1 1); 2.636 Å, 2θ 34.01, I 535, (1 1 -3); 2.617 Å, 2θ 34.27, I 401, (1 1 3); 4.606 Å, 2θ 19.27, I 351, (1 0 1); 4.641 Å, 2θ 19.12, I 320, (1 0 -1); 2.580 Å, 2θ 34.77, I 271, (1 2 1); 1.892 Å, 2θ 48.09, I 243, (1 3 -1)

Structural model:
```
data_MnSn3P4O16
_chemical_formula_sum 'Mn1 Sn3 P4 O16'
_space_group_name_H-M_alt 'P 1 m 1'
_space_group_IT_number 6
_space_group_name_Hall 'P -2y'
_cell_length_a 5.148
_cell_length_b 6.220
_cell_length_c 10.517
_cell_angle_alpha 90.00
_cell_angle_beta 90.55
_cell_angle_gamma 90.00
loop_
_atom_site_label
_atom_site_fract_x
_atom_site_fract_y
_atom_site_fract_z
_atom_site_occupancy
Mn1 0.000 0.000 0.000 1
Sn1 0.092 0.500 0.446 1
Sn2 0.500 0.500 0.940 1
Sn3 0.601 0.000 0.516 1
P1 0.180 0.000 0.332 1
P2 0.467 0.000 0.821 1
P3 0.620 0.500 0.644 1
P4 0.937 0.500 0.108 1
O1 0.169 0.000 0.189 1
O2 0.235 0.500 0.081 1
O3 0.327 0.500 0.639 1
O4 0.329 0.196 0.890 1
O5 0.348 0.190 0.394 1
O6 0.379 0.000 0.678 1
O7 0.726 0.500 0.783 1
O8 0.747 0.301 0.574 1
O9 0.758 0.000 0.836 1
O10 0.794 0.307 0.038 1
O11 0.889 0.500 0.249 1
O12 0.903 0.000 0.389 1
```

For Mn2SnP3O12, DFT lattice parameters and positions (PBE+U) gives the theoretical X-ray diffraction stick pattern in this record (Cu Ka).
Kinematic intensities with the Lorentz-polarization factor, no thermal factor.

Main lines, most intense first (10 to 90 degrees two-theta):
4.408 Å, 2θ 20.15, I 1000, (1 1 0); 2.724 Å, 2θ 32.87, I 946, (1 1 6); 3.719 Å, 2θ 23.92, I 686, (1 1 3); 2.545 Å, 2θ 35.27, I 496, (3 0 0); 1.860 Å, 2θ 48.98, I 392, (2 2 6); 1.501 Å, 2θ 61.79, I 349, (1 4 6); 6.154 Å, 2θ 14.39, I 316, (0 1 2); 3.583 Å, 2θ 24.85, I 275, (2 0 2); 1.666 Å, 2θ 55.13, I 267, (4 1 0); 1.931 Å, 2θ 47.05, I 266, (1 2 8)

Structural model:
```
data_Mn2SnP3O12
_chemical_formula_sum 'Mn12 Sn6 P18 O72'
_space_group_name_H-M_alt 'R -3 c'
_space_group_IT_number 167
_space_group_name_Hall '-R 3 2"c'
_cell_length_a 8.8155
_cell_length_b 8.8155
_cell_length_c 20.7944
_cell_angle_alpha 90.00
_cell_angle_beta 90.00
_cell_angle_gamma 120.00
loop_
_atom_site_label
_atom_site_fract_x
_atom_site_fract_y
_atom_site_fract_z
_atom_site_occupancy
Mn1 0.0000 0.0000 0.1512 1
Sn1 0.0000 0.0000 0.0000 1
P1 0.0000 0.3023 0.2500 1
O1 0.0019 0.1726 0.9274 1
O2 0.0116 0.2155 0.3109 1
```